The following is a computed X-ray diffraction stick pattern of GaH3O3. It was derived from a crystal structure in the Materials Project, relaxed with GGA-PBE, using λ = 1.5418 Å (Cu Kα).
Kinematic intensities with the Lorentz-polarization factor, no thermal factor.

Peak list (10 most intense, 10 to 90 degrees two-theta, low angle first)
two_theta	d [Å]	I/Imax	(hkl)
23.76	3.745	100.0	0 2 1
33.72	2.658	24.9	2 2 0
33.99	2.637	22.9	2 0 2
41.67	2.168	12.9	4 0 1
48.63	1.872	17.2	0 4 2
54.63	1.680	24.0	2 4 1
55.01	1.669	23.5	4 -2 3
60.30	1.535	8.3	6 0 0
60.48	1.531	16.9	4 2 2
61.01	1.519	8.2	0 2 4

Cell and atoms:
```
data_GaH3O3
_symmetry_space_group_name_H-M 'R -3'
_symmetry_Int_Tables_number 148
_symmetry_space_group_name_Hall '-R 3'
_cell_length_a 10.6334
_cell_length_b 10.6334
_cell_length_c 6.4349
_cell_angle_alpha 90.00
_cell_angle_beta 90.00
_cell_angle_gamma 120.00
loop_
_atom_site_label
_atom_site_fract_x
_atom_site_fract_y
_atom_site_fract_z
_atom_site_occupancy
Ga1 0.0000 0.0000 0.0000 1
Ga2 0.0000 0.5000 0.0000 1
H1 0.0316 0.4248 0.6516 1
H2 0.0767 0.1927 0.7310 1
O1 0.0117 0.8489 0.1760 1
O2 0.0507 0.7769 0.5955 1
```